Diffraction record for BC2. The powder XRD pattern is theoretical, not measured: it uses a crystal structure in Alexandria, relaxed with PBE and Cu Ka.
Lines closer than 0.1° are merged.

Most intense lines, 5° ≤ 2θ ≤ 70°, in order of falling intensity:
2θ (°), I (rel.)
42.72, 100
41.70, 92
11.16, 15
32.73, 2
26.11, 2
22.42, 1
52.09, 1
42.08, 1

```
12
Lattice="2.555 0.000 0.000 0.000 7.930 0.000 0.000 0.000 3.780" Properties=species:S:1:pos:R:3 pbc="T T T"
B 0.000 0.660 0.000
B 0.000 5.926 3.776
B 1.277 2.003 1.886
B 1.277 7.269 1.890
C 0.000 2.086 0.825
C 0.000 3.332 3.740
C 0.000 4.564 0.954
C 0.000 7.235 0.861
C 1.277 0.695 2.752
C 1.277 3.366 2.844
C 1.277 4.597 1.849
C 1.277 5.843 2.715
```


Diffraction record for KNa2GePt2. The powder XRD pattern is theoretical, not measured: it uses a crystal structure in Alexandria, relaxed with PBE and Cu Ka.
Lines closer than 0.1° are merged.

Most intense lines, 5° ≤ 2θ ≤ 70°, in order of falling intensity:
2θ (°), I (rel.)
13.31, 100
28.98, 43
39.07, 30
36.56, 30
26.81, 23
45.91, 21
37.43, 18
48.72, 12

```
6
Lattice="4.916 0.000 0.000 0.000 4.916 0.000 0.000 0.000 6.650" Properties=species:S:1:pos:R:3 pbc="T T T"
K 0.000 0.000 0.000
Na 2.458 2.458 1.814
Na 2.458 2.458 4.836
Ge 0.000 0.000 3.325
Pt 0.000 2.458 3.325
Pt 2.458 0.000 3.325
```


Diffraction record for MnRh2. The powder XRD pattern is theoretical, not measured: it uses a crystal structure in Alexandria, relaxed with PBE and Cu Ka.
Lines closer than 0.1° are merged.

Most intense lines, 5° ≤ 2θ ≤ 70°, in order of falling intensity:
2θ (°), I (rel.)
42.29, 100
41.97, 100
61.10, 32
29.45, 14
24.04, 4
55.25, 4
52.37, 3
33.87, 3

```
6
Lattice="4.274 0.000 0.000 -2.137 3.702 0.000 0.000 0.000 5.292" Properties=species:S:1:pos:R:3 pbc="T T T"
Mn 0.000 2.468 1.323
Mn 2.137 1.234 3.969
Rh 0.000 0.000 0.000
Rh 0.000 0.000 2.646
Rh 0.000 2.468 3.969
Rh 2.137 1.234 1.323
```


Diffraction record for Al2BiTe4. The powder XRD pattern is theoretical, not measured: it uses a crystal structure in Alexandria, relaxed with PBE and Cu Ka.
Lines closer than 0.1° are merged.

Most intense lines, 5° ≤ 2θ ≤ 70°, in order of falling intensity:
2θ (°), I (rel.)
26.96, 100
42.94, 39
26.01, 31
16.66, 31
46.26, 24
33.56, 23
46.46, 23
29.93, 17

```
14
Lattice="8.445 0.000 0.000 0.000 8.445 0.000 0.000 0.000 6.853" Properties=species:S:1:pos:R:3 pbc="T T T"
Al 0.000 4.222 1.713
Al 0.000 4.222 5.139
Al 4.222 0.000 1.713
Al 4.222 0.000 5.139
Bi 0.000 0.000 0.000
Bi 4.222 4.222 3.426
Te 1.406 5.703 3.426
Te 1.481 2.816 0.000
Te 2.741 1.406 3.426
Te 2.816 6.964 0.000
Te 5.628 1.481 0.000
Te 5.703 7.039 3.426
Te 6.964 5.628 0.000
Te 7.039 2.741 3.426
```


Diffraction record for K4Hg2Se. The powder XRD pattern is theoretical, not measured: it uses a crystal structure in Alexandria, relaxed with PBE and Cu Ka.
Lines closer than 0.1° are merged.

Most intense lines, 5° ≤ 2θ ≤ 70°, in order of falling intensity:
2θ (°), I (rel.)
29.94, 100
19.66, 88
41.41, 77
27.94, 69
14.83, 60
10.48, 43
58.89, 33
28.96, 32

```
14
Lattice="6.386 0.000 0.000 0.000 6.386 0.000 0.000 0.000 16.877" Properties=species:S:1:pos:R:3 pbc="T T T"
K 0.000 0.000 3.138
K 0.000 0.000 13.739
K 0.000 3.193 0.000
K 0.000 3.193 8.438
K 3.193 0.000 0.000
K 3.193 0.000 8.438
K 3.193 3.193 5.301
K 3.193 3.193 11.576
Hg 0.000 0.000 6.767
Hg 0.000 0.000 10.110
Hg 3.193 3.193 1.671
Hg 3.193 3.193 15.205
Se 0.000 0.000 0.000
Se 3.193 3.193 8.438
```


Diffraction record for Ac5Te2O12. The powder XRD pattern is theoretical, not measured: it uses a crystal structure in Alexandria, relaxed with PBE and Cu Ka.
Lines closer than 0.1° are merged.

Most intense lines, 5° ≤ 2θ ≤ 70°, in order of falling intensity:
2θ (°), I (rel.)
30.34, 100
26.03, 80
24.67, 71
24.77, 67
25.53, 66
26.90, 33
29.10, 33
44.76, 28

```
19
Lattice="6.631 0.000 0.000 -3.299 6.743 0.000 -0.173 -2.421 7.729" Properties=species:S:1:pos:R:3 pbc="T T T"
Ac 0.000 0.000 0.000
Ac -0.069 -1.123 3.638
Ac -0.140 3.674 5.132
Ac 0.006 4.814 1.500
Ac 3.291 1.846 2.551
Te 1.533 0.604 6.514
Te 4.760 0.674 6.281
O -1.721 3.759 3.118
O -1.734 2.560 7.023
O -0.461 1.109 4.987
O 0.298 2.585 0.120
O 1.377 -1.469 5.864
O 1.633 -0.072 1.979
O 1.355 2.626 7.098
O 1.625 3.766 3.211
O 3.189 2.661 0.046
O 3.445 1.070 4.956
O 4.920 -0.044 1.944
O 4.921 -1.294 5.802
```


Diffraction record for SrAcLa2. The powder XRD pattern is theoretical, not measured: it uses a crystal structure in Alexandria, relaxed with PBE and Cu Ka.
Lines closer than 0.1° are merged.

Most intense lines, 5° ≤ 2θ ≤ 70°, in order of falling intensity:
2θ (°), I (rel.)
28.88, 100
31.03, 94
6.81, 80
27.48, 58
55.04, 51
46.70, 43
26.86, 29
28.03, 28

```
12
Lattice="3.890 0.000 0.000 -1.945 3.369 0.000 0.000 0.000 38.950" Properties=species:S:1:pos:R:3 pbc="T T T"
Sr 0.000 0.000 0.000
Sr 0.000 2.246 25.967
Sr 1.945 1.123 12.983
Ac 0.000 0.000 32.440
Ac 0.000 2.246 19.456
Ac 1.945 1.123 6.473
La 0.000 0.000 16.342
La 0.000 0.000 22.569
La 0.000 2.246 3.359
La 0.000 2.246 9.586
La 1.945 1.123 29.325
La 1.945 1.123 35.553
```


Diffraction record for Sr3LaTh2As6. The powder XRD pattern is theoretical, not measured: it uses a crystal structure in Alexandria, relaxed with PBE and Cu Ka.
Lines closer than 0.1° are merged.

Most intense lines, 5° ≤ 2θ ≤ 70°, in order of falling intensity:
2θ (°), I (rel.)
28.68, 100
40.98, 50
41.06, 26
50.84, 20
12.28, 19
67.32, 17
67.18, 16
59.38, 12

```
12
Lattice="3.807 -6.597 0.000 3.807 6.597 0.000 -2.542 0.000 7.206" Properties=species:S:1:pos:R:3 pbc="T T T"
Sr 0.000 0.000 0.000
Sr 3.807 2.178 0.000
Sr 3.807 -2.178 0.000
La 2.537 0.000 3.603
Th 2.537 4.396 3.603
Th 2.537 -4.396 3.603
As 1.240 2.247 1.954
As -0.059 0.000 5.252
As 1.240 -2.247 1.954
As 3.833 2.247 5.252
As 5.132 0.000 1.954
As 3.833 -2.247 5.252
```